Diffraction record for LiIrO4. The X-ray diffraction stick pattern is simulated, not measured: it uses a PBE-relaxed structure and Cu Kα X-rays.

Most intense lines, 2θ = 10–90°, by angle:
2θ 19.73, 4.499 Å, I = 100, (1 1 0); 2θ 27.78, 3.211 Å, I = 25, (2 0 0); 2θ 28.31, 3.152 Å, I = 23, (0 2 0); 2θ 28.70, 3.110 Å, I = 18, (0 0 1); 2θ 35.07, 2.559 Å, I = 42, (1 1 1); 2θ 40.08, 2.250 Å, I = 9, (2 2 0); 2θ 40.37, 2.234 Å, I = 25, (2 0 1); 2θ 45.41, 1.997 Å, I = 14, (1 3 0); 2θ 50.04, 1.823 Å, I = 17, (2 2 1); 2θ 53.99, 1.698 Å, I = 18, (3 1 1); 2θ 54.61, 1.681 Å, I = 15, (1 3 1); 2θ 69.60, 1.351 Å, I = 9, (3 3 1)

Structural model:
abc: 6.4221 6.3048 3.1104
angles: 90.00 90.09 90.00
Space group Cm (No. 8)
One atom of each set of equivalent atoms:
Li 0.0000 0.0000 0.0000 x2
Ir 0.0000 0.5000 0.4487 x2
O 0.0002 0.2206 0.5300 x4
O 0.1941 0.5000 0.9848 x2
O 0.3059 0.0000 0.9835 x2

Diffraction record for Pr2BiClO4. The X-ray diffraction stick pattern is simulated, not measured: it uses a PBE-relaxed structure and Cu Kα X-rays.

Most intense lines, 2θ = 10–90°, by angle:
2θ 24.20, 3.677 Å, I = 28, (1 0 1); 2θ 29.68, 3.010 Å, I = 100, (1 0 2); 2θ 31.46, 2.844 Å, I = 34, (1 1 0); 2θ 39.71, 2.270 Å, I = 8, (0 0 4); 2θ 43.67, 2.073 Å, I = 17, (1 1 3); 2θ 45.08, 2.011 Å, I = 21, (2 0 0); 2θ 51.51, 1.774 Å, I = 21, (1 1 4); 2θ 54.89, 1.673 Å, I = 40, (2 1 2); 2θ 55.53, 1.655 Å, I = 9, (1 0 5); 2θ 61.62, 1.505 Å, I = 9, (2 0 4); 2θ 73.66, 1.286 Å, I = 9, (3 0 2); 2θ 88.02, 1.110 Å, I = 9, (3 1 4)

Structural model:
abc: 4.0221 4.0221 9.0792
angles: 90.00 90.00 90.00
Space group P4/mmm (No. 123)
One atom of each set of equivalent atoms:
Pr 0.0000 0.0000 0.2256 x2
Bi 0.5000 0.5000 0.5000 x1
Cl 0.5000 0.5000 0.0000 x1
O 0.0000 0.5000 0.3401 x4

Diffraction record for Co4B3As. The X-ray diffraction stick pattern is simulated, not measured: it uses a PBE-relaxed structure and Cu Kα X-rays.

Most intense lines, 2θ = 10–90°, by angle:
2θ 24.16, 3.684 Å, I = 25, (1 0 -1); 2θ 32.93, 2.720 Å, I = 24, (0 0 2); 2θ 35.21, 2.549 Å, I = 87, (0 1 1); 2θ 35.89, 2.502 Å, I = 28, (2 0 0); 2θ 39.65, 2.273 Å, I = 53, (2 0 -1); 2θ 45.85, 1.979 Å, I = 29, (0 1 2); 2θ 49.48, 1.842 Å, I = 61, (2 0 -2); 2θ 50.31, 1.814 Å, I = 19, (0 0 3); 2θ 51.14, 1.786 Å, I = 100, (2 1 1); 2θ 60.28, 1.535 Å, I = 24, (0 1 3); 2θ 64.61, 1.443 Å, I = 18, (0 2 0); 2θ 85.49, 1.136 Å, I = 23, (2 2 -2)

Structural model:
abc: 5.0068 2.8850 5.4407
angles: 90.00 90.10 90.00
Space group Pm (No. 6)
One atom of each set of equivalent atoms:
Co 0.0000 0.0000 0.0000 x1
Co 0.0024 0.5000 0.4063 x1
Co 0.4862 0.5000 0.4099 x1
Co 0.4886 0.0000 0.9936 x1
B 0.2385 0.0000 0.6429 x1
B 0.2457 0.5000 0.1048 x1
B 0.7431 0.0000 0.2907 x1
As 0.7509 0.5000 0.7559 x1

Diffraction record for Tl4PdS4. The X-ray diffraction stick pattern is simulated, not measured: it uses a PBE-relaxed structure and Cu Kα X-rays.

Most intense lines, 2θ = 10–90°, by angle:
2θ 21.74, 4.088 Å, I = 48, (2 2 0); 2θ 24.72, 3.602 Å, I = 61, (1 3 0); 2θ 25.35, 3.514 Å, I = 100, (0 0 2); 2θ 26.82, 3.325 Å, I = 60, (3 1 -1); 2θ 27.51, 3.242 Å, I = 97, (3 1 1); 2θ 27.72, 3.218 Å, I = 37, (1 3 -1); 2θ 27.93, 3.195 Å, I = 69, (1 3 1); 2θ 33.25, 2.694 Å, I = 58, (2 2 -2); 2θ 35.54, 2.526 Å, I = 36, (1 3 -2); 2θ 35.88, 2.503 Å, I = 40, (1 3 2); 2θ 46.44, 1.955 Å, I = 49, (3 1 3); 2θ 49.93, 1.826 Å, I = 33, (0 6 1)

Structural model:
abc: 11.7928 11.3483 7.0312
angles: 90.00 91.83 90.00
Space group Cc (No. 9)
One atom of each set of equivalent atoms:
Tl 0.0000 0.0436 0.0000 x4
Tl 0.1628 0.4466 0.5658 x4
Tl 0.3344 0.2123 0.0630 x4
Tl 0.4562 0.1586 0.5903 x4
Pd 0.1854 0.1146 0.5589 x4
S 0.0453 0.2386 0.7219 x4
S 0.1731 0.2474 0.3026 x4
S 0.2755 0.0195 0.8475 x4
S 0.3459 0.3731 0.7991 x4